(1)
Calculated XRD peak list
Compound: Cs3ReF7
Radiation: Cu Kα
Structure: DFT lattice parameters and positions (GGA-PBE)

Top 12 peaks for 10° ≤ 2θ ≤ 90°, sorted by position:
two_theta, I (rel.)
15.16, 152
23.36, 500
24.48, 1000
25.40, 500
27.62, 501
29.59, 199
39.36, 165
39.60, 471
42.20, 261
45.73, 155
46.45, 157
48.05, 146

Structural model:
```
11
Lattice="4.595 -4.556 0.000 4.595 4.556 0.000 -4.075 0.000 6.037" Properties=species:S:1:pos:R:3 pbc="T T T"
Cs 0.000 0.000 0.000
Cs 2.525 2.164 2.997
Cs 2.525 -2.164 2.997
Re 4.815 0.000 0.153
F 0.107 1.311 4.795
F 2.910 0.000 0.910
F 4.817 1.819 1.158
F 0.107 -1.311 4.795
F 2.429 0.000 4.972
F 6.407 0.000 1.443
F 4.817 -1.819 1.158
```

***

(2)
Calculated XRD peak list
Compound: Cs2ReF7
Radiation: Cu Kα
Structure: DFT lattice parameters and positions (GGA-PBE)

Top 12 peaks for 10° ≤ 2θ ≤ 90°, sorted by position:
two_theta, I (rel.)
15.45, 180
22.65, 1000
22.80, 596
26.53, 217
27.71, 517
28.94, 272
35.26, 258
36.46, 273
36.89, 265
44.54, 272
46.25, 201
55.97, 237

Structural model:
```
20
Lattice="7.665 -3.360 0.000 7.665 3.360 0.000 -7.570 0.000 7.801" Properties=species:S:1:pos:R:3 pbc="T T T"
Cs 0.626 0.447 2.035
Cs -3.159 -0.447 5.935
Cs 10.918 0.447 1.865
Cs 7.133 -0.447 5.766
Re 5.772 0.298 1.950
Re 1.987 -0.298 5.851
F 5.772 2.279 1.950
F 2.044 1.319 4.684
F 6.257 0.897 0.143
F 3.854 0.317 1.459
F 1.930 1.319 7.017
F 0.069 -0.317 5.360
F 5.287 0.897 3.757
F 2.472 -0.897 4.043
F 7.691 0.317 2.441
F 5.829 -1.319 0.783
F 3.906 -0.317 6.341
F 1.502 -0.897 7.658
F 5.715 -1.319 3.117
F 1.987 -2.279 5.851
```

***

(3)
Calculated XRD peak list
Compound: Cs2RhF4
Radiation: Cu Kα
Structure: DFT lattice parameters and positions (GGA-PBE)

Top 12 peaks for 10° ≤ 2θ ≤ 90°, sorted by position:
two_theta, I (rel.)
12.18, 115
27.18, 1000
28.30, 653
36.91, 109
37.11, 132
37.77, 179
40.45, 359
47.32, 155
49.41, 388
56.05, 150
58.53, 115
66.31, 196

Structural model:
```
14
Lattice="4.460 0.000 0.000 0.000 4.460 0.000 0.000 0.000 14.535" Properties=species:S:1:pos:R:3 pbc="T T T"
Cs 0.000 0.000 2.083
Cs 0.000 0.000 12.452
Cs 2.230 2.230 5.184
Cs 2.230 2.230 9.351
Rh 0.000 0.000 7.268
Rh 2.230 2.230 0.000
F 0.000 0.000 5.186
F 0.000 0.000 9.349
F 0.000 2.230 0.000
F 0.000 2.230 7.268
F 2.230 0.000 0.000
F 2.230 0.000 7.268
F 2.230 2.230 2.081
F 2.230 2.230 12.454
```

***

(4)
Calculated XRD peak list
Compound: Cs2RuF7
Radiation: Cu Kα
Structure: DFT lattice parameters and positions (GGA-PBE)

Top 12 peaks for 10° ≤ 2θ ≤ 90°, sorted by position:
two_theta, I (rel.)
22.63, 1000
23.25, 538
27.30, 243
27.69, 511
29.74, 174
35.94, 298
36.16, 278
36.55, 140
37.05, 268
45.44, 139
47.54, 120
54.57, 117

Structural model:
```
20
Lattice="7.655 -3.266 0.000 7.655 3.266 0.000 -7.449 0.000 7.859" Properties=species:S:1:pos:R:3 pbc="T T T"
Cs 2.033 0.345 0.592
Cs -1.691 -0.345 4.521
Cs 9.552 0.345 3.338
Cs 5.827 -0.345 7.267
Ru 2.068 0.220 5.894
Ru 5.792 -0.220 1.965
F 2.068 2.190 5.894
F 4.637 1.382 2.096
F 0.317 0.814 6.486
F 1.469 0.238 4.013
F 6.947 1.382 1.833
F 5.194 -0.238 0.084
F 3.818 0.814 5.302
F 4.042 -0.814 2.557
F 2.667 0.238 7.775
F 0.913 -1.382 6.026
F 6.391 -0.238 3.846
F 7.543 -0.814 1.373
F 3.223 -1.382 5.762
F 5.792 -2.190 1.965
```

***

(5)
Calculated XRD peak list
Compound: Cs4SF2
Radiation: Cu Kα
Structure: DFT lattice parameters and positions (GGA-PBE)

Top 12 peaks for 10° ≤ 2θ ≤ 90°, sorted by position:
two_theta, I (rel.)
21.39, 281
24.60, 607
25.07, 1000
27.66, 691
28.50, 619
32.82, 502
35.06, 178
41.67, 191
42.04, 387
46.26, 331
52.65, 223
53.69, 216

Structural model:
```
14
Lattice="0.000 7.230 7.248 4.935 0.000 7.248 4.935 7.230 0.000" Properties=species:S:1:pos:R:3 pbc="T T T"
Cs 2.893 3.140 3.136
Cs 6.977 6.755 6.760
Cs 4.509 7.705 3.136
Cs 4.509 3.140 7.736
Cs 5.360 11.319 6.760
Cs 5.360 6.755 11.360
Cs 2.893 7.705 7.736
Cs 6.977 11.319 11.360
S 3.701 5.422 5.436
S 6.168 9.037 9.060
F 0.000 0.000 0.000
F 2.467 3.615 0.000
F 2.467 0.000 3.624
F 0.000 3.615 3.624
```

***

(6)
Calculated XRD peak list
Compound: Cs3SF
Radiation: Cu Kα
Structure: DFT lattice parameters and positions (GGA-PBE)

Top 12 peaks for 10° ≤ 2θ ≤ 90°, sorted by position:
two_theta, I (rel.)
21.05, 589
21.66, 442
22.85, 962
24.25, 484
24.36, 472
24.77, 1000
26.51, 580
27.38, 842
33.84, 368
35.24, 336
39.55, 369
44.70, 445

Structural model:
```
20
Lattice="8.075 -6.381 0.000 8.075 6.381 0.000 -2.336 0.000 8.461" Properties=species:S:1:pos:R:3 pbc="T T T"
Cs 4.334 4.917 7.320
Cs 4.972 3.534 3.507
Cs 8.312 4.917 5.372
Cs 6.076 0.566 0.092
Cs 10.010 3.534 0.723
Cs 4.908 -0.566 4.323
Cs 8.906 0.566 4.139
Cs 3.804 -3.534 7.738
Cs 7.738 -0.566 8.369
Cs 5.502 -4.917 3.089
Cs 8.842 -3.534 4.954
Cs 9.480 -4.917 1.141
S 7.491 5.171 2.115
S 6.323 2.014 6.346
S 7.491 -2.014 2.115
S 6.323 -5.171 6.346
F 4.106 1.223 2.167
F 2.938 -1.223 6.398
F 10.876 1.223 2.064
F 9.708 -1.223 6.294
```

***

(7)
Calculated XRD peak list
Compound: CsS5F
Radiation: Cu Kα
Structure: DFT lattice parameters and positions (GGA-PBE)

Top 12 peaks for 10° ≤ 2θ ≤ 90°, sorted by position:
two_theta, I (rel.)
12.16, 369
21.11, 207
22.23, 1000
22.84, 783
25.25, 243
26.29, 462
27.72, 294
27.95, 407
29.20, 345
29.38, 253
31.23, 172
34.53, 174

Structural model:
```
7
Lattice="4.371 0.000 0.000 1.824 6.782 0.000 1.439 3.184 7.280" Properties=species:S:1:pos:R:3 pbc="T T T"
Cs 0.000 0.000 0.000
S 2.388 6.715 5.534
S 1.168 2.875 2.573
S 2.662 3.306 1.441
S 3.834 5.645 4.436
S 5.306 7.039 4.097
F 5.443 8.344 7.185
```

***

(8)
Calculated XRD peak list
Compound: Cs4SF
Radiation: Cu Kα
Structure: DFT lattice parameters and positions (GGA-PBE)

Top 12 peaks for 10° ≤ 2θ ≤ 90°, sorted by position:
two_theta, I (rel.)
21.86, 402
22.03, 796
31.23, 1000
31.36, 498
38.55, 370
44.94, 178
50.23, 127
50.49, 128
50.58, 214
55.45, 92
55.72, 279
74.35, 100

Structural model:
```
12
Lattice="8.069 0.000 0.000 0.000 8.069 0.000 -0.022 0.000 8.132" Properties=species:S:1:pos:R:3 pbc="T T T"
Cs 0.000 2.018 0.000
Cs 0.000 6.051 0.000
Cs -0.003 2.017 4.182
Cs -0.003 6.052 4.182
Cs 4.034 2.017 0.000
Cs 4.034 6.052 0.000
Cs 4.032 2.018 4.182
Cs 4.032 6.051 4.182
S 2.016 0.000 2.092
S 6.050 4.034 2.092
F 2.004 4.034 6.165
F 6.039 0.000 6.165
```

***

(9)
Calculated XRD peak list
Compound: Cs2SbSF6
Radiation: Cu Kα
Structure: DFT lattice parameters and positions (GGA-PBE)

Top 12 peaks for 10° ≤ 2θ ≤ 90°, sorted by position:
two_theta, I (rel.)
15.49, 313
25.12, 1000
26.05, 446
31.28, 153
34.43, 177
37.17, 299
43.67, 180
45.39, 355
51.56, 193
56.28, 131
69.39, 127
72.79, 115

Structural model:
```
10
Lattice="-3.421 3.421 5.210 3.421 -3.421 5.210 3.421 3.421 -5.210" Properties=species:S:1:pos:R:3 pbc="T T T"
Cs 3.421 0.000 2.605
Cs 0.000 3.421 2.605
Sb 0.000 0.000 0.000
S 0.000 0.000 5.210
F 0.000 0.000 1.990
F 1.404 1.404 0.000
F 2.017 -2.017 5.210
F -2.017 2.017 5.210
F 2.017 2.017 5.210
F 0.000 0.000 8.431
```

***

(10)
Calculated XRD peak list
Compound: CsSbF3
Radiation: Cu Kα
Structure: DFT lattice parameters and positions (GGA-PBE)

Top 12 peaks for 10° ≤ 2θ ≤ 90°, sorted by position:
two_theta, I (rel.)
24.53, 1000
27.94, 337
29.29, 231
39.92, 229
40.92, 194
47.42, 334
49.15, 188
50.28, 195
65.10, 158
66.05, 83
73.18, 76
77.85, 79

Structural model:
```
10
Lattice="-3.194 3.194 6.099 3.194 -3.194 6.099 3.194 3.194 -6.099" Properties=species:S:1:pos:R:3 pbc="T T T"
Cs 3.194 0.000 3.049
Cs 0.000 3.194 3.049
Sb 0.000 0.000 0.000
Sb 0.000 0.000 6.099
F 0.000 0.000 2.169
F 1.561 1.561 0.000
F 1.632 -1.632 6.099
F -1.632 1.632 6.099
F 1.632 1.632 6.099
F 0.000 0.000 10.029
```

***

(11)
Calculated XRD peak list
Compound: Cs3SbF
Radiation: Cu Kα
Structure: DFT lattice parameters and positions (GGA-PBE)

Top 12 peaks for 10° ≤ 2θ ≤ 90°, sorted by position:
two_theta, I (rel.)
22.72, 388
24.86, 878
25.09, 1000
25.30, 224
26.84, 294
27.30, 243
28.45, 322
34.42, 233
36.95, 316
42.23, 231
43.83, 253
48.33, 229

Structural model:
```
10
Lattice="7.985 -2.433 0.000 7.985 2.433 0.000 -2.470 0.000 12.086" Properties=species:S:1:pos:R:3 pbc="T T T"
Cs 1.372 0.000 2.617
Cs 1.037 0.003 7.318
Cs 5.256 0.005 1.201
Cs 8.244 0.005 10.885
Cs 12.463 0.003 4.767
Cs 12.128 0.000 9.469
Sb 6.048 0.002 7.281
Sb 7.452 0.002 4.805
F 1.980 0.011 10.394
F 11.520 0.011 1.692
```

***

(12)
Calculated XRD peak list
Compound: Cs3Sb2F9
Radiation: Cu Kα
Structure: DFT lattice parameters and positions (GGA-PBE)

Top 12 peaks for 10° ≤ 2θ ≤ 90°, sorted by position:
two_theta, I (rel.)
14.71, 239
18.31, 222
25.63, 1000
26.39, 978
31.68, 192
37.12, 693
45.19, 200
45.65, 461
52.67, 222
54.33, 184
59.85, 225
61.01, 171

Structural model:
```
14
Lattice="6.951 0.000 0.000 -3.476 6.020 0.000 0.000 0.000 8.159" Properties=species:S:1:pos:R:3 pbc="T T T"
Cs 0.000 0.000 0.000
Cs 0.000 4.013 2.884
Cs 3.476 2.007 5.275
Sb 0.000 4.013 6.893
Sb 3.476 2.007 1.266
F -1.738 3.010 0.000
F 0.000 2.372 5.645
F -1.421 4.834 5.645
F 2.054 1.186 2.514
F 3.476 0.000 0.000
F 1.738 3.010 0.000
F 1.421 4.834 5.645
F 4.897 1.186 2.514
F 3.476 3.648 2.514
```

***

(13)
Calculated XRD peak list
Compound: CsZnSbF6
Radiation: Cu Kα
Structure: DFT lattice parameters and positions (GGA-PBE)

Top 12 peaks for 10° ≤ 2θ ≤ 90°, sorted by position:
two_theta, I (rel.)
14.22, 192
22.61, 1000
22.76, 495
28.66, 159
30.54, 308
30.84, 155
38.23, 121
38.63, 115
42.31, 285
42.45, 208
42.74, 138
47.27, 121

Structural model:
```
9
Lattice="5.799 0.000 0.000 2.897 5.086 0.000 0.038 -0.007 6.229" Properties=species:S:1:pos:R:3 pbc="T T T"
Cs 0.000 0.000 0.000
Zn 2.915 1.677 2.950
Sb 5.819 3.386 3.107
F 1.165 1.585 3.961
F 3.696 3.231 3.987
F 5.401 4.995 1.770
F 4.652 2.213 1.779
F 3.855 0.234 3.994
F 7.419 2.941 1.774
```